For Pm2Ho5Tm3, a GGA-PBE-relaxed structure gives the simulated X-ray diffraction stick pattern in this record (a wavelength of 1.5418 Å).
No peak broadening, texture or thermal motion is included.

Most intense lines, 10° ≤ 2θ ≤ 90°, in order of rising 2θ:
28.32 deg, I = 37; 30.72 deg, I = 52; 31.23 deg, I = 100; 32.36 deg, I = 65; 32.73 deg, I = 43; 33.19 deg, I = 71; 34.10 deg, I = 25; 34.30 deg, I = 40; 37.33 deg, I = 22; 50.01 deg, I = 23

```
Pm2Ho5Tm3
1.0
5.4255 -7.1562 0.0000
5.4255 7.1562 0.0000
-4.5769 0.0000 8.4847
Pm Ho Tm
4 10 6
Direct
0.0444 0.2942 0.0454
0.2942 0.0444 0.5454
0.7058 0.9556 0.4546
0.9556 0.7058 0.9546
0.0353 0.9647 0.7500
0.0825 0.3256 0.6812
0.2520 0.7480 0.7500
0.3256 0.0825 0.1812
0.4999 0.5001 0.2500
0.5001 0.4999 0.7500
0.6744 0.9175 0.8188
0.7480 0.2520 0.2500
0.9175 0.6744 0.3188
0.9647 0.0353 0.2500
0.2005 0.4566 0.4219
0.2729 0.7271 0.2500
0.4566 0.2005 0.9219
0.5434 0.7995 0.0781
0.7271 0.2729 0.7500
0.7995 0.5434 0.5781
```